# Cu7Ag2
Theoretical X-ray diffraction stick pattern, Cu Kα (weighted mean of Kα1 and Kα2). Input: a crystal structure in OQMD, relaxed with GGA-PBE.
Peak positions follow from Bragg's law for the DFT cell and can differ from measured ones.

a b c (Å): 16.378 16.378 16.378
angles (deg): 170.57 170.57 13.36
Fractional positions:
Cu 0.000 0.000 0.000
Cu 0.123 0.123 0.000
Cu 0.224 0.224 0.000
Cu 0.327 0.327 0.000
Cu 0.673 0.673 0.000
Cu 0.776 0.776 0.000
Cu 0.877 0.877 0.000
Ag 0.439 0.439 0.000
Ag 0.561 0.561 0.000

Top 10 peaks for 10° ≤ 2θ ≤ 80°, in order of rising 2θ:
2θ = 33.38°, intensity 3; 2θ = 38.63°, intensity 12; 2θ = 41.82°, intensity 100; 2θ = 44.56°, intensity 5; 2θ = 45.55°, intensity 4; 2θ = 47.75°, intensity 39; 2θ = 50.49°, intensity 9; 2θ = 67.36°, intensity 6; 2θ = 69.84°, intensity 11; 2θ = 72.03°, intensity 11

***

# LaGdFe2Ge4
Theoretical X-ray diffraction stick pattern, Cu Kα (weighted mean of Kα1 and Kα2). Input: a crystal structure in OQMD, relaxed with GGA-PBE.
Peak positions follow from Bragg's law for the DFT cell and can differ from measured ones.

a b c (Å): 4.242 8.653 8.653
angles (deg): 28.42 90.00 90.00
Fractional positions:
La 0.000 0.000 0.000
Gd 0.500 0.781 0.781
Fe 0.000 0.210 0.210
Fe 0.500 0.573 0.573
Ge 0.000 0.345 0.345
Ge 0.000 0.644 0.644
Ge 0.500 0.144 0.144
Ge 0.500 0.435 0.435

Top 10 peaks for 10° ≤ 2θ ≤ 80°, in order of rising 2θ:
2θ = 30.24°, intensity 19; 2θ = 33.89°, intensity 100; 2θ = 34.05°, intensity 33; 2θ = 38.56°, intensity 30; 2θ = 42.59°, intensity 56; 2θ = 53.69°, intensity 14; 2θ = 55.64°, intensity 16; 2θ = 58.76°, intensity 17; 2θ = 61.81°, intensity 18; 2θ = 72.36°, intensity 14

***

# Cs2PdBr2Cl2
Theoretical X-ray diffraction stick pattern, Cu Kα (weighted mean of Kα1 and Kα2). Input: a crystal structure in OQMD, relaxed with GGA-PBE.
Peak positions follow from Bragg's law for the DFT cell and can differ from measured ones.

a b c (Å): 4.801 7.694 7.698
angles (deg): 90.00 90.00 90.00
Fractional positions:
Cs 0.000 0.000 0.000
Cs 0.000 0.500 0.459
Pd 0.500 0.500 0.977
Br 0.500 0.273 0.751
Br 0.500 0.727 0.751
Cl 0.500 0.284 0.193
Cl 0.500 0.716 0.193

Top 10 peaks for 10° ≤ 2θ ≤ 80°, in order of rising 2θ:
2θ = 11.50°, intensity 50; 2θ = 16.29°, intensity 19; 2θ = 21.82°, intensity 29; 2θ = 24.73°, intensity 100; 2θ = 29.75°, intensity 62; 2θ = 32.92°, intensity 55; 2θ = 37.47°, intensity 22; 2θ = 41.60°, intensity 41; 2θ = 47.24°, intensity 17; 2θ = 50.71°, intensity 31

***

# RbSnTeAuSe2
Theoretical X-ray diffraction stick pattern, Cu Kα (weighted mean of Kα1 and Kα2). Input: a crystal structure in OQMD, relaxed with GGA-PBE.
Peak positions follow from Bragg's law for the DFT cell and can differ from measured ones.

a b c (Å): 8.939 8.939 11.218
angles (deg): 90.00 90.00 154.12
Fractional positions:
Rb 0.232 0.768 0.750
Rb 0.768 0.232 0.250
Sn 0.500 0.500 0.000
Sn 0.500 0.500 0.500
Te 0.445 0.555 0.250
Te 0.555 0.445 0.750
Au 0.109 0.891 0.250
Au 0.891 0.109 0.750
Se 0.113 0.887 0.032
Se 0.113 0.887 0.468
Se 0.887 0.113 0.532
Se 0.887 0.113 0.968

Top 10 peaks for 10° ≤ 2θ ≤ 80°, in order of rising 2θ:
2θ = 10.15°, intensity 64; 2θ = 12.87°, intensity 30; 2θ = 27.05°, intensity 56; 2θ = 28.21°, intensity 100; 2θ = 31.88°, intensity 80; 2θ = 34.11°, intensity 31; 2θ = 36.33°, intensity 28; 2θ = 42.31°, intensity 32; 2θ = 49.12°, intensity 32; 2θ = 56.45°, intensity 32

***

# Si17Ge14Pd
Theoretical X-ray diffraction stick pattern, Cu Kα (weighted mean of Kα1 and Kα2). Input: a crystal structure in OQMD, relaxed with GGA-PBE.
Peak positions follow from Bragg's law for the DFT cell and can differ from measured ones.

a b c (Å): 5.593 3.945 31.427
angles (deg): 90.00 90.08 90.00
Fractional positions:
Si 0.000 0.000 0.000
Si 0.000 0.000 0.248
Si 0.002 0.000 0.498
Si 0.004 0.000 0.747
Si 0.010 0.000 0.121
Si 0.012 0.000 0.871
Si 0.251 0.000 0.809
Si 0.252 0.000 0.559
Si 0.253 0.000 0.308
Si 0.262 0.000 0.687
Si 0.504 0.500 0.687
Si 0.510 0.500 0.186
Si 0.512 0.500 0.437
Si 0.761 0.500 0.247
Si 0.762 0.500 0.747
Si 0.763 0.500 0.497
Si 0.767 0.500 0.998
Ge 0.013 0.000 0.372
Ge 0.016 0.000 0.623
Ge 0.250 0.000 0.936
Ge 0.259 0.000 0.185
Ge 0.263 0.000 0.437
Ge 0.502 0.500 0.308
Ge 0.502 0.500 0.808
Ge 0.503 0.500 0.059
Ge 0.503 0.500 0.559
Ge 0.512 0.500 0.936
Ge 0.752 0.500 0.373
Ge 0.752 0.500 0.624
Ge 0.762 0.500 0.124
Ge 0.763 0.500 0.872
Pd 0.256 0.000 0.060

Top 10 peaks for 10° ≤ 2θ ≤ 80°, in order of rising 2θ:
2θ = 11.26°, intensity 12; 2θ = 27.69°, intensity 100; 2θ = 27.77°, intensity 36; 2θ = 46.00°, intensity 80; 2θ = 46.22°, intensity 16; 2θ = 54.45°, intensity 19; 2θ = 54.58°, intensity 19; 2θ = 54.72°, intensity 19; 2θ = 67.26°, intensity 10; 2θ = 74.03°, intensity 15

***

# Cs2Ni3S4
Theoretical X-ray diffraction stick pattern, Cu Kα (weighted mean of Kα1 and Kα2). Input: a crystal structure in OQMD, relaxed with GGA-PBE.
Peak positions follow from Bragg's law for the DFT cell and can differ from measured ones.

a b c (Å): 5.857 5.857 15.042
angles (deg): 90.00 90.00 120.00
Fractional positions:
Cs 0.333 0.667 0.087
Cs 0.333 0.667 0.413
Cs 0.667 0.333 0.587
Cs 0.667 0.333 0.913
Ni 0.166 0.333 0.750
Ni 0.166 0.834 0.750
Ni 0.333 0.166 0.250
Ni 0.667 0.834 0.750
Ni 0.834 0.166 0.250
Ni 0.834 0.667 0.250
S 0.000 0.000 0.155
S 0.000 0.000 0.345
S 0.000 0.000 0.655
S 0.000 0.000 0.845
S 0.333 0.667 0.655
S 0.333 0.667 0.845
S 0.667 0.333 0.155
S 0.667 0.333 0.345

Top 10 peaks for 10° ≤ 2θ ≤ 80°, in order of rising 2θ:
2θ = 11.77°, intensity 24; 2θ = 21.13°, intensity 24; 2θ = 24.97°, intensity 100; 2θ = 30.52°, intensity 45; 2θ = 35.88°, intensity 41; 2θ = 38.98°, intensity 41; 2θ = 46.85°, intensity 24; 2θ = 51.00°, intensity 28; 2θ = 56.10°, intensity 16; 2θ = 63.53°, intensity 16

***

# FeP4Os
Theoretical X-ray diffraction stick pattern, Cu Kα (weighted mean of Kα1 and Kα2). Input: a crystal structure in OQMD, relaxed with GGA-PBE.
Peak positions follow from Bragg's law for the DFT cell and can differ from measured ones.

a b c (Å): 5.033 2.851 5.783
angles (deg): 90.00 90.05 90.00
Fractional positions:
Fe 0.000 0.000 0.000
P 0.157 0.000 0.637
P 0.325 0.500 0.123
P 0.675 0.500 0.877
P 0.843 0.000 0.363
Os 0.500 0.500 0.500

Top 10 peaks for 10° ≤ 2θ ≤ 80°, in order of rising 2θ:
2θ = 15.32°, intensity 47; 2θ = 17.62°, intensity 33; 2θ = 23.43°, intensity 100; 2θ = 30.93°, intensity 35; 2θ = 35.83°, intensity 24; 2θ = 36.21°, intensity 76; 2θ = 39.52°, intensity 29; 2θ = 48.31°, intensity 25; 2θ = 50.71°, intensity 26; 2θ = 50.91°, intensity 49

***

# LiCuPbSeS2
Theoretical X-ray diffraction stick pattern, Cu Kα (weighted mean of Kα1 and Kα2). Input: a crystal structure in OQMD, relaxed with GGA-PBE.
Peak positions follow from Bragg's law for the DFT cell and can differ from measured ones.

a b c (Å): 6.146 6.146 11.510
angles (deg): 90.00 90.00 144.05
Fractional positions:
Li 0.221 0.779 0.750
Li 0.779 0.221 0.250
Cu 0.465 0.535 0.250
Cu 0.535 0.465 0.750
Pb 0.000 0.000 0.000
Pb 0.000 0.000 0.500
Se 0.094 0.906 0.250
Se 0.906 0.094 0.750
S 0.347 0.653 0.094
S 0.347 0.653 0.406
S 0.653 0.347 0.594
S 0.653 0.347 0.906

Top 10 peaks for 10° ≤ 2θ ≤ 80°, in order of rising 2θ:
2θ = 15.16°, intensity 100; 2θ = 24.68°, intensity 24; 2θ = 29.21°, intensity 43; 2θ = 31.08°, intensity 25; 2θ = 32.95°, intensity 17; 2θ = 34.75°, intensity 37; 2θ = 36.56°, intensity 61; 2θ = 40.08°, intensity 28; 2θ = 48.39°, intensity 29; 2θ = 60.58°, intensity 15